[1]
Structure and theoretical powder diffractogram of Tb2Nd2Y (DFT lattice parameters and positions (GGA-PBE); Cu Kα (λ = 1.5418 Å)).
Kinematic intensities with the Lorentz-polarization factor, no thermal factor.

The 6 most intense peaks (2θ = 15–90°), most intense first:
two_theta  I/Imax
32.13  100
30.91  25
28.07  24
59.67  23
55.76  21
49.68  20

Cell: 8.595 8.595 6.849 Å, 103.05 103.05 43.44°
Fractional coordinates of all 10 atoms:
Tb (0.016, 0.180, 0.451)
Tb (0.180, 0.016, 0.951)
Tb (0.820, 0.984, 0.049)
Tb (0.984, 0.820, 0.549)
Nd (0.213, 0.387, 0.846)
Nd (0.387, 0.213, 0.346)
Nd (0.613, 0.787, 0.654)
Nd (0.787, 0.613, 0.154)
Y (0.416, 0.584, 0.250)
Y (0.584, 0.416, 0.750)



[2]
Structure and theoretical powder diffractogram of Tb7Nd3Y2 (DFT lattice parameters and positions (GGA-PBE); Cu Kα (λ = 1.5418 Å)).
Kinematic intensities with the Lorentz-polarization factor, no thermal factor.

The 6 most intense peaks (2θ = 15–90°), most intense first:
two_theta  I/Imax
30.98  100
30.47  46
32.95  42
31.48  41
30.59  32
34.46  31

Cell: 5.875 3.584 18.953 Å, 90.00 93.02 90.00°
Fractional coordinates of all 12 atoms:
Tb (0.000, 0.000, 0.000)
Tb (0.192, 0.500, 0.177)
Tb (0.257, 0.500, 0.537)
Tb (0.310, 0.000, 0.857)
Tb (0.690, 0.000, 0.143)
Tb (0.743, 0.500, 0.463)
Tb (0.808, 0.500, 0.823)
Nd (0.221, 0.000, 0.367)
Nd (0.500, 0.500, 0.000)
Nd (0.779, 0.000, 0.633)
Y (0.289, 0.500, 0.707)
Y (0.711, 0.500, 0.293)



[3]
Structure and theoretical powder diffractogram of TbNd3Y6 (DFT lattice parameters and positions (GGA-PBE); Cu Kα (λ = 1.5418 Å)).
Kinematic intensities with the Lorentz-polarization factor, no thermal factor.

The 6 most intense peaks (2θ = 15–90°), most intense first:
two_theta  I/Imax
31.52  100
28.47  81
33.61  37
34.05  32
32.21  24
29.26  16

Cell: 10.948 10.948 6.446 Å, 90.00 90.00 119.82°
Fractional coordinates of all 20 atoms:
Tb (0.193, 0.807, 0.500)
Tb (0.807, 0.193, 0.000)
Nd (0.064, 0.293, 0.676)
Nd (0.293, 0.064, 0.176)
Nd (0.387, 0.613, 0.568)
Nd (0.613, 0.387, 0.068)
Nd (0.707, 0.936, 0.676)
Nd (0.936, 0.707, 0.176)
Y (0.039, 0.961, 0.777)
Y (0.055, 0.472, 0.265)
Y (0.267, 0.733, 0.978)
Y (0.288, 0.376, 0.085)
Y (0.376, 0.288, 0.585)
Y (0.472, 0.055, 0.765)
Y (0.528, 0.945, 0.265)
Y (0.624, 0.712, 0.085)
Y (0.712, 0.624, 0.585)
Y (0.733, 0.267, 0.478)
Y (0.945, 0.528, 0.765)
Y (0.961, 0.039, 0.277)



[4]
Structure and theoretical powder diffractogram of Tb2Nd2Y3 (DFT lattice parameters and positions (GGA-PBE); Cu Kα (λ = 1.5418 Å)).
Kinematic intensities with the Lorentz-polarization factor, no thermal factor.

The 6 most intense peaks (2θ = 15–90°), most intense first:
two_theta  I/Imax
28.77  100
34.19  94
31.58  44
47.23  42
57.93  41
61.21  21

Cell: 8.498 8.498 8.498 Å, 109.47 109.47 109.47°
Fractional coordinates of all 14 atoms:
Tb (0.000, 0.082, 0.500)
Tb (0.082, 0.500, 0.000)
Tb (0.418, 0.418, 0.418)
Tb (0.500, 0.000, 0.082)
Nd (0.000, 0.687, 0.500)
Nd (0.500, 0.000, 0.687)
Nd (0.687, 0.500, 0.000)
Nd (0.813, 0.813, 0.813)
Y (0.195, 0.945, 0.250)
Y (0.250, 0.195, 0.945)
Y (0.305, 0.555, 0.750)
Y (0.555, 0.750, 0.305)
Y (0.750, 0.305, 0.555)
Y (0.945, 0.250, 0.195)



[5]
Structure and theoretical powder diffractogram of Tb5Nd2Y4 (DFT lattice parameters and positions (GGA-PBE); Cu Kα (λ = 1.5418 Å)).
Kinematic intensities with the Lorentz-polarization factor, no thermal factor.

The 6 most intense peaks (2θ = 15–90°), most intense first:
two_theta  I/Imax
32.38  100
31.66  81
28.22  58
24.78  56
42.23  52
37.05  49

Cell: 12.689 12.689 12.689 Å, 164.04 137.99 45.21°
Fractional coordinates of all 11 atoms:
Tb (0.000, 0.000, 0.000)
Tb (0.052, 0.358, 0.695)
Tb (0.337, 0.642, 0.695)
Tb (0.663, 0.358, 0.305)
Tb (0.948, 0.642, 0.305)
Nd (0.267, 0.767, 0.500)
Nd (0.733, 0.233, 0.500)
Y (0.310, 0.500, 0.810)
Y (0.402, 0.902, 0.500)
Y (0.598, 0.098, 0.500)
Y (0.690, 0.500, 0.190)



[6]
Structure and theoretical powder diffractogram of Tb2Nd2Y3 (DFT lattice parameters and positions (GGA-PBE); Cu Kα (λ = 1.5418 Å)).
Kinematic intensities with the Lorentz-polarization factor, no thermal factor.

The 6 most intense peaks (2θ = 15–90°), most intense first:
two_theta  I/Imax
30.19  100
30.40  78
30.59  73
32.60  62
36.41  59
56.69  26

Cell: 16.864 3.514 8.817 Å, 90.00 116.31 90.00°
Fractional coordinates of all 14 atoms:
Tb (0.139, 0.000, 0.409)
Tb (0.361, 0.500, 0.591)
Tb (0.639, 0.500, 0.409)
Tb (0.861, 0.000, 0.591)
Nd (0.078, 0.500, 0.702)
Nd (0.422, 0.000, 0.298)
Nd (0.578, 0.000, 0.702)
Nd (0.922, 0.500, 0.298)
Y (0.000, 0.500, 0.000)
Y (0.221, 0.500, 0.148)
Y (0.279, 0.000, 0.852)
Y (0.500, 0.000, 0.000)
Y (0.721, 0.000, 0.148)
Y (0.779, 0.500, 0.852)



[7]
Structure and theoretical powder diffractogram of Tb7NdY2 (DFT lattice parameters and positions (GGA-PBE); Cu Kα (λ = 1.5418 Å)).
Kinematic intensities with the Lorentz-polarization factor, no thermal factor.

The 6 most intense peaks (2θ = 15–90°), most intense first:
two_theta  I/Imax
31.20  100
30.64  95
32.68  46
33.18  46
47.26  34
61.83  28

Cell: 9.520 9.520 9.520 Å, 146.54 136.57 55.91°
Fractional coordinates of all 10 atoms:
Tb (0.000, 0.000, 0.000)
Tb (0.139, 0.391, 0.748)
Tb (0.301, 0.801, 0.500)
Tb (0.358, 0.609, 0.748)
Tb (0.642, 0.391, 0.252)
Tb (0.699, 0.199, 0.500)
Tb (0.861, 0.609, 0.252)
Nd (0.500, 0.000, 0.500)
Y (0.200, 0.200, 0.000)
Y (0.800, 0.800, 0.000)



[8]
Structure and theoretical powder diffractogram of TbNd5Y3 (DFT lattice parameters and positions (GGA-PBE); Cu Kα (λ = 1.5418 Å)).
Kinematic intensities with the Lorentz-polarization factor, no thermal factor.

The 6 most intense peaks (2θ = 15–90°), most intense first:
two_theta  I/Imax
31.33  100
28.34  98
29.35  95
33.29  67
29.92  66
26.52  64

Cell: 10.580 10.580 11.740 Å, 120.40 120.40 34.63°
Fractional coordinates of all 18 atoms:
Tb (0.106, 0.894, 0.750)
Tb (0.894, 0.106, 0.250)
Nd (0.007, 0.634, 0.165)
Nd (0.183, 0.538, 0.842)
Nd (0.366, 0.993, 0.335)
Nd (0.408, 0.592, 0.250)
Nd (0.462, 0.817, 0.658)
Nd (0.538, 0.183, 0.342)
Nd (0.592, 0.408, 0.750)
Nd (0.634, 0.007, 0.665)
Nd (0.817, 0.462, 0.158)
Nd (0.993, 0.366, 0.835)
Y (0.000, 0.000, 0.000)
Y (0.000, 0.000, 0.500)
Y (0.048, 0.600, 0.471)
Y (0.400, 0.952, 0.029)
Y (0.600, 0.048, 0.971)
Y (0.952, 0.400, 0.529)



[9]
Structure and theoretical powder diffractogram of Tb8Nd2Y (DFT lattice parameters and positions (GGA-PBE); Cu Kα (λ = 1.5418 Å)).
Kinematic intensities with the Lorentz-polarization factor, no thermal factor.

The 6 most intense peaks (2θ = 15–90°), most intense first:
two_theta  I/Imax
31.87  100
32.05  36
29.64  28
32.39  19
57.01  19
63.46  13

Cell: 9.377 9.377 9.377 Å, 145.34 128.02 63.99°
Fractional coordinates of all 11 atoms:
Tb (0.157, 0.364, 0.794)
Tb (0.159, 0.159, 0.000)
Tb (0.294, 0.000, 0.294)
Tb (0.430, 0.636, 0.794)
Tb (0.570, 0.364, 0.206)
Tb (0.706, 0.000, 0.706)
Tb (0.841, 0.841, 0.000)
Tb (0.843, 0.636, 0.206)
Nd (0.298, 0.798, 0.500)
Nd (0.702, 0.202, 0.500)
Y (0.000, 0.500, 0.500)



[10]
Structure and theoretical powder diffractogram of Tb2NdY12 (DFT lattice parameters and positions (GGA-PBE); Cu Kα (λ = 1.5418 Å)).
Kinematic intensities with the Lorentz-polarization factor, no thermal factor.

The 6 most intense peaks (2θ = 15–90°), most intense first:
two_theta  I/Imax
31.46  100
30.59  93
33.10  86
32.89  78
29.69  76
29.02  44

Cell: 6.700 6.700 24.818 Å, 90.00 90.00 116.14°
Fractional coordinates of all 30 atoms:
Tb (0.250, 0.750, 0.233)
Tb (0.250, 0.750, 0.770)
Tb (0.750, 0.250, 0.230)
Tb (0.750, 0.250, 0.767)
Nd (0.250, 0.750, 0.501)
Nd (0.750, 0.250, 0.499)
Y (0.001, 0.501, 0.630)
Y (0.001, 0.999, 0.421)
Y (0.010, 0.510, 0.086)
Y (0.013, 0.987, 0.939)
Y (0.250, 0.250, 0.173)
Y (0.250, 0.250, 0.300)
Y (0.250, 0.250, 0.700)
Y (0.250, 0.250, 0.827)
Y (0.487, 0.513, 0.939)
Y (0.490, 0.990, 0.086)
Y (0.499, 0.501, 0.421)
Y (0.499, 0.999, 0.630)
Y (0.501, 0.001, 0.370)
Y (0.501, 0.499, 0.579)
Y (0.510, 0.010, 0.914)
Y (0.513, 0.487, 0.061)
Y (0.750, 0.750, 0.173)
Y (0.750, 0.750, 0.300)
Y (0.750, 0.750, 0.700)
Y (0.750, 0.750, 0.827)
Y (0.987, 0.013, 0.061)
Y (0.990, 0.490, 0.914)
Y (0.999, 0.001, 0.579)
Y (0.999, 0.499, 0.370)



[11]
Structure and theoretical powder diffractogram of Tb3Nd7Y2 (DFT lattice parameters and positions (GGA-PBE); Cu Kα (λ = 1.5418 Å)).
Kinematic intensities with the Lorentz-polarization factor, no thermal factor.

The 6 most intense peaks (2θ = 15–90°), most intense first:
two_theta  I/Imax
31.18  100
30.61  51
29.71  39
33.24  25
33.87  23
30.76  22

Cell: 19.515 19.515 3.642 Å, 90.00 90.00 162.79°
Fractional coordinates of all 12 atoms:
Tb (0.000, 0.000, 0.000)
Tb (0.185, 0.815, 0.000)
Tb (0.815, 0.185, 0.000)
Nd (0.093, 0.907, 0.500)
Nd (0.268, 0.732, 0.500)
Nd (0.428, 0.572, 0.000)
Nd (0.500, 0.500, 0.500)
Nd (0.572, 0.428, 0.000)
Nd (0.732, 0.268, 0.500)
Nd (0.907, 0.093, 0.500)
Y (0.351, 0.649, 0.500)
Y (0.649, 0.351, 0.500)



[12]
Structure and theoretical powder diffractogram of Tb3NdY3 (DFT lattice parameters and positions (GGA-PBE); Cu Kα (λ = 1.5418 Å)).
Kinematic intensities with the Lorentz-polarization factor, no thermal factor.

The 6 most intense peaks (2θ = 15–90°), most intense first:
two_theta  I/Imax
32.40  100
28.27  25
31.29  24
60.22  22
56.40  20
50.05  19

Cell: 9.644 9.644 5.717 Å, 90.00 90.00 120.00°
Fractional coordinates of all 14 atoms:
Tb (0.049, 0.813, 0.250)
Tb (0.187, 0.236, 0.250)
Tb (0.236, 0.049, 0.750)
Tb (0.764, 0.951, 0.250)
Tb (0.813, 0.764, 0.750)
Tb (0.951, 0.187, 0.750)
Nd (0.333, 0.667, 0.250)
Nd (0.667, 0.333, 0.750)
Y (0.096, 0.621, 0.750)
Y (0.379, 0.475, 0.750)
Y (0.475, 0.096, 0.250)
Y (0.525, 0.904, 0.750)
Y (0.621, 0.525, 0.250)
Y (0.904, 0.379, 0.250)